Structure and theoretical X-ray diffraction stick pattern of MnAgAu14 (a crystal structure in Alexandria, relaxed with GGA-PBE; Cu Kα X-rays).
Lines closer than 0.1° are merged.

abc: 6.0242 6.0242 7.9019
angles: 90.00 90.00 90.00
Element x y z (fractional)
1 Mn 0.0000 0.0000 0.0000
2 Ag 0.5000 0.5000 0.0000
3 Au 0.0000 0.0000 0.5000
4 Au 0.0000 0.5000 0.0000
5 Au 0.0000 0.5000 0.5000
6 Au 0.2466 0.2466 0.2460
7 Au 0.2466 0.2466 0.7540
8 Au 0.2466 0.7534 0.2460
9 Au 0.2466 0.7534 0.7540
10 Au 0.5000 0.0000 0.0000
11 Au 0.5000 0.0000 0.5000
12 Au 0.5000 0.5000 0.5000
13 Au 0.7534 0.2466 0.2460
14 Au 0.7534 0.2466 0.7540
15 Au 0.7534 0.7534 0.2460
16 Au 0.7534 0.7534 0.7540

Most intense lines, 15 to 90 degrees two-theta, by angle:
d = 2.395 Å, I 100
d = 2.130 Å, I 36
d = 1.975 Å, I 14
d = 1.506 Å, I 12
d = 1.448 Å, I 21
d = 1.275 Å, I 28
d = 1.207 Å, I 12
d = 1.198 Å, I 11